The following is a theoretical X-ray diffraction stick pattern of Na2MgMn4O8. It was derived from a crystal structure in the Materials Project, relaxed with PBE+U, using Cu Kα (λ = 1.5418 Å).

The 10 most intense peaks (5° ≤ 2θ ≤ 70°), sorted by position:
- 13.95 deg, rel. 40
- 16.62 deg, rel. 100
- 25.61 deg, rel. 17
- 25.94 deg, rel. 31
- 34.84 deg, rel. 35
- 38.62 deg, rel. 16
- 40.38 deg, rel. 16
- 41.89 deg, rel. 16
- 43.54 deg, rel. 19
- 52.63 deg, rel. 22

Structure:
```
Na2MgMn4O8
1.0
-2.940 2.940 6.348
2.940 -2.940 6.348
2.940 2.940 -6.348
Na Mg Mn O
2 1 4 8
Cartesian
0.000 0.000 0.000
0.000 2.940 3.174
2.940 0.000 3.174
2.940 1.479 1.048
1.479 2.940 -1.048
1.461 0.000 5.300
0.000 1.461 7.396
1.717 0.000 1.585
4.163 0.000 1.585
2.940 -1.223 4.763
2.940 1.637 -1.109
2.940 1.223 4.763
1.637 2.940 1.109
1.302 0.000 7.457
0.000 1.302 5.239
```


The following is a theoretical X-ray diffraction stick pattern of Rb3CrF6. It was derived from a crystal structure in the Materials Project, relaxed with PBE+U, using Cu Kα (λ = 1.5418 Å).

The 10 most intense peaks (5° ≤ 2θ ≤ 70°), sorted by position:
- 13.18 deg, rel. 54
- 13.50 deg, rel. 100
- 20.68 deg, rel. 24
- 26.52 deg, rel. 23
- 27.19 deg, rel. 35
- 29.20 deg, rel. 15
- 32.78 deg, rel. 21
- 38.99 deg, rel. 19
- 42.07 deg, rel. 22
- 43.32 deg, rel. 11

Structure:
```
Rb3CrF6
1.0
7.030 0.000 0.000
-1.832 6.805 0.000
-1.404 -1.822 6.718
Rb Cr F
3 1 6
Cartesian
0.000 0.000 0.000
-1.618 2.492 3.359
2.813 -0.911 3.359
-0.702 -0.911 3.359
-1.596 4.869 1.972
-1.307 5.102 4.671
0.511 0.571 2.971
3.283 4.413 3.747
5.101 -0.118 2.047
5.390 0.115 4.746
```


The following is a theoretical X-ray diffraction stick pattern of Fe5O7F3. It was derived from a crystal structure in the Materials Project, relaxed with PBE+U, using Cu Kα (λ = 1.5418 Å).

The 10 most intense peaks (5° ≤ 2θ ≤ 70°), sorted by position:
- 27.06 deg, rel. 100
- 35.23 deg, rel. 53
- 38.64 deg, rel. 9
- 40.35 deg, rel. 16
- 53.24 deg, rel. 30
- 53.32 deg, rel. 28
- 55.79 deg, rel. 16
- 60.91 deg, rel. 9
- 63.08 deg, rel. 9
- 67.78 deg, rel. 20

Structure:
```
Fe5O7F3
1.0
4.664 0.000 0.000
0.000 4.658 0.000
-0.035 0.000 15.209
Fe O F
10 14 6
Cartesian
0.988 0.000 6.741
1.160 0.097 9.882
1.192 0.009 12.936
1.255 0.184 3.790
1.296 0.157 0.850
3.332 2.485 14.359
3.374 2.513 11.419
3.436 2.338 2.273
3.468 2.425 5.327
3.641 2.329 8.468
0.234 1.012 5.261
0.291 1.037 2.296
0.297 0.893 8.372
1.992 3.898 11.366
2.002 3.911 14.492
2.057 3.836 5.286
2.132 3.866 2.326
2.497 1.538 12.883
2.571 1.507 9.924
2.626 1.582 0.717
2.636 1.569 3.843
4.331 3.221 6.837
4.337 3.366 12.913
4.394 3.341 9.948
0.197 1.034 11.445
0.195 1.050 14.467
2.078 3.752 8.315
2.551 1.424 6.894
4.433 3.379 0.742
4.432 3.363 3.764
```


The following is a theoretical X-ray diffraction stick pattern of NaFe2O4. It was derived from a crystal structure in the Materials Project, relaxed with PBE+U, using Cu Kα (λ = 1.5418 Å).

The 10 most intense peaks (5° ≤ 2θ ≤ 70°), sorted by position:
- 15.49 deg, rel. 100
- 25.38 deg, rel. 3
- 31.27 deg, rel. 11
- 36.85 deg, rel. 17
- 40.19 deg, rel. 31
- 44.07 deg, rel. 10
- 49.09 deg, rel. 36
- 61.74 deg, rel. 16
- 66.39 deg, rel. 12
- 68.64 deg, rel. 8

Structure:
```
NaFe2O4
1.0
5.634 0.000 0.000
0.000 11.444 0.000
0.000 0.000 4.877
Na Fe O
4 8 16
Cartesian
0.000 0.000 0.000
0.000 5.722 1.600
2.817 0.000 2.975
2.817 5.722 4.578
0.000 2.906 4.708
0.000 8.538 4.708
1.412 2.864 2.286
1.412 8.580 2.286
2.817 2.822 4.743
2.817 8.622 4.743
4.222 2.864 2.286
4.222 8.580 2.286
0.000 1.872 1.450
0.000 3.888 3.079
0.000 7.556 3.079
0.000 9.571 1.450
1.400 1.824 3.917
1.400 9.620 3.917
1.413 3.895 0.658
1.413 7.549 0.658
2.817 1.825 1.497
2.817 3.850 3.124
2.817 7.594 3.124
2.817 9.618 1.497
4.220 3.895 0.658
4.220 7.549 0.658
4.234 1.824 3.917
4.234 9.620 3.917
```


The following is a theoretical X-ray diffraction stick pattern of Sr3Co2O6. It was derived from a crystal structure in the Materials Project, relaxed with PBE+U, using Cu Kα (λ = 1.5418 Å).

The 10 most intense peaks (5° ≤ 2θ ≤ 70°), sorted by position:
- 29.30 deg, rel. 45
- 30.66 deg, rel. 39
- 31.79 deg, rel. 43
- 31.93 deg, rel. 49
- 32.20 deg, rel. 100
- 38.32 deg, rel. 20
- 43.03 deg, rel. 30
- 45.14 deg, rel. 32
- 46.63 deg, rel. 19
- 57.08 deg, rel. 15

Structure:
```
Sr3Co2O6
1.0
4.419 -4.802 0.000
4.419 4.802 0.000
-0.288 0.000 7.013
Sr Co O
6 4 12
Cartesian
4.204 3.689 5.260
2.598 0.653 4.286
2.742 -0.653 0.780
5.810 0.653 6.234
5.953 -0.653 2.727
4.348 -3.689 1.753
2.210 2.401 0.000
4.348 2.476 1.753
2.066 -2.401 3.507
4.204 -2.476 5.260
0.777 0.918 6.435
2.469 1.719 2.048
0.920 -0.918 2.928
3.434 1.476 6.585
4.973 1.476 3.935
2.325 -1.719 5.554
6.226 1.719 1.459
3.578 -1.476 3.078
5.117 -1.476 0.428
7.631 0.918 4.085
6.082 -1.719 4.966
7.775 -0.918 0.578
```


The following is a theoretical X-ray diffraction stick pattern of MgFe6O10F2. It was derived from a crystal structure in the Materials Project, relaxed with PBE+U, using Cu Kα (λ = 1.5418 Å).

The 10 most intense peaks (5° ≤ 2θ ≤ 70°), sorted by position:
- 23.70 deg, rel. 100
- 27.26 deg, rel. 87
- 30.01 deg, rel. 19
- 34.98 deg, rel. 60
- 35.33 deg, rel. 21
- 35.54 deg, rel. 39
- 54.12 deg, rel. 15
- 56.25 deg, rel. 16
- 62.37 deg, rel. 20
- 63.47 deg, rel. 29

Structure:
```
MgFe6O10F2
1.0
5.099 0.000 0.000
0.666 5.652 0.000
0.672 0.992 7.621
Mg Fe O F
1 6 10 2
Cartesian
0.000 0.000 0.000
2.862 3.252 3.611
3.117 1.807 6.200
3.411 5.298 1.461
5.845 4.435 6.146
5.292 0.586 3.656
5.476 2.416 1.436
1.002 3.691 0.203
1.341 2.108 3.034
2.237 3.382 5.472
2.276 5.010 3.017
1.665 0.949 0.399
3.912 1.819 4.454
3.941 3.473 2.016
4.651 5.922 7.033
4.410 0.645 1.821
5.105 4.765 4.529
1.992 6.373 5.687
4.895 2.834 6.940
```


The following is a theoretical X-ray diffraction stick pattern of Na3FeF6. It was derived from a crystal structure in the Materials Project, relaxed with PBE+U, using Cu Kα (λ = 1.5418 Å).

The 10 most intense peaks (5° ≤ 2θ ≤ 70°), sorted by position:
- 18.80 deg, rel. 86
- 19.42 deg, rel. 40
- 22.07 deg, rel. 100
- 30.75 deg, rel. 34
- 31.31 deg, rel. 83
- 31.47 deg, rel. 76
- 44.89 deg, rel. 39
- 45.07 deg, rel. 74
- 50.63 deg, rel. 33
- 56.67 deg, rel. 42

Structure:
```
Na3FeF6
1.0
5.571 0.000 0.000
0.000 5.816 0.000
-5.514 0.000 8.077
Na Fe F
6 2 12
Cartesian
0.000 0.000 0.000
-2.757 2.908 4.038
-2.836 0.338 6.012
-0.079 2.570 1.973
0.135 3.246 6.103
2.893 5.478 2.065
0.028 0.000 4.038
2.785 2.908 0.000
-1.580 1.030 3.610
-4.337 1.878 7.648
-0.904 4.188 3.446
-3.662 4.537 7.484
0.684 0.344 2.214
-2.073 2.564 6.252
2.130 3.252 1.825
-0.628 5.472 5.863
3.718 1.280 0.593
0.960 1.629 4.631
4.393 3.938 0.429
1.636 4.786 4.467
```


The following is a theoretical X-ray diffraction stick pattern of Li2V3O6. It was derived from a crystal structure in the Materials Project, relaxed with PBE+U, using Cu Kα (λ = 1.5418 Å).

The 10 most intense peaks (5° ≤ 2θ ≤ 70°), sorted by position:
- 17.99 deg, rel. 100
- 35.09 deg, rel. 12
- 35.26 deg, rel. 11
- 35.40 deg, rel. 12
- 42.35 deg, rel. 24
- 42.62 deg, rel. 23
- 43.08 deg, rel. 22
- 62.07 deg, rel. 12
- 62.13 deg, rel. 6
- 62.38 deg, rel. 6

Structure:
```
Li2V3O6
1.0
2.989 0.000 0.000
-1.462 7.744 0.000
-1.456 -0.695 9.859
Li V O
4 6 12
Cartesian
0.000 0.000 0.000
-1.444 6.234 4.970
0.038 3.446 4.923
1.506 2.780 0.042
-1.451 2.780 7.411
0.028 1.825 2.578
0.034 0.195 7.269
0.041 6.989 2.485
0.053 5.345 7.565
1.516 4.410 2.391
-1.455 1.133 8.436
-1.446 4.411 6.385
0.069 -0.026 3.531
0.018 3.469 1.381
-1.437 6.319 8.529
0.041 2.012 6.355
0.024 5.299 3.544
1.520 0.936 1.425
0.046 3.536 8.477
0.062 6.957 6.304
1.526 2.766 3.589
1.474 6.261 1.438
```